Record 1
This entry pairs a crystal structure of CaTl5Hg8 with its computed powder X-ray diffraction pattern. Radiation: Cu Kα, 1.54184 Å. Structure: a crystal structure in Alexandria, relaxed with PBE.
No peak broadening, texture or thermal motion is included.

Crystal structure
```
CaTl5Hg8
1.0
6.0253 -4.4718 0.0000
6.0253 4.4718 0.0000
-4.9881 0.0000 7.6434
Ca Tl Hg
1 5 8
Direct
0.0000 0.0000 0.0000
0.2577 0.5168 0.5712
0.3169 0.0469 0.7931
0.4832 0.7423 0.4288
0.7438 0.2562 0.5000
0.9531 0.6831 0.2069
0.1391 0.0946 0.4067
0.1572 0.5230 0.8865
0.3092 0.3158 0.1816
0.4770 0.8428 0.1135
0.6310 0.2718 0.8063
0.6842 0.6908 0.8184
0.7282 0.3690 0.1937
0.9054 0.8609 0.5933
```

Top 6 peaks for 10° ≤ 2θ ≤ 80°, by intensity:
two_theta, d/Å, I/Imax
28.35, 3.148, 100
35.19, 2.550, 85
31.94, 2.802, 55
38.67, 2.328, 55
31.67, 2.825, 44
31.29, 2.859, 43

Record 2
This entry pairs a crystal structure of Ca4Tl3Hg8 with its computed powder X-ray diffraction pattern. Radiation: Cu Kα, 1.54184 Å. Structure: a crystal structure in Alexandria, relaxed with PBE.
No peak broadening, texture or thermal motion is included.

Crystal structure
```
Ca4Tl3Hg8
1.0
0.0000 7.4463 7.4463
7.4463 0.0000 7.4463
7.4463 7.4463 0.0000
Ca Tl Hg
8 6 16
Direct
0.0000 0.0000 0.0000
0.0000 0.0000 0.5000
0.0000 0.5000 0.0000
0.0000 0.5000 0.5000
0.5000 0.0000 0.0000
0.5000 0.0000 0.5000
0.5000 0.5000 0.0000
0.5000 0.5000 0.5000
0.2492 0.2492 0.7508
0.2492 0.7508 0.2492
0.2492 0.7508 0.7508
0.7508 0.2492 0.2492
0.7508 0.2492 0.7508
0.7508 0.7508 0.2492
0.1069 0.6310 0.6310
0.1318 0.1318 0.1318
0.1318 0.1318 0.6046
0.1318 0.6046 0.1318
0.3690 0.3690 0.3690
0.3690 0.3690 0.8931
0.3690 0.8931 0.3690
0.3954 0.8682 0.8682
0.6046 0.1318 0.1318
0.6310 0.1069 0.6310
0.6310 0.6310 0.1069
0.6310 0.6310 0.6310
0.8682 0.3954 0.8682
0.8682 0.8682 0.3954
0.8682 0.8682 0.8682
0.8931 0.3690 0.3690
```

Top 6 peaks for 10° ≤ 2θ ≤ 80°, by intensity:
two_theta, d/Å, I/Imax
34.06, 2.633, 100
60.95, 1.520, 35
48.93, 1.862, 18
23.90, 3.723, 14
71.70, 1.316, 11
20.66, 4.299, 7

Record 3
This entry pairs a crystal structure of Ca3TlHg4 with its computed powder X-ray diffraction pattern. Radiation: Cu Kα, 1.54184 Å. Structure: a crystal structure in Alexandria, relaxed with PBE.
No peak broadening, texture or thermal motion is included.

Crystal structure
```
Ca3TlHg4
1.0
-1.9529 3.9648 7.5804
1.9529 -3.9648 7.5804
1.9529 3.9648 -7.5804
Ca Tl Hg
3 1 4
Direct
0.0000 0.0000 0.0000
0.3179 0.8179 0.5000
0.6821 0.1821 0.5000
0.5000 0.5000 0.0000
0.0544 0.3609 0.6935
0.3325 0.6391 0.6935
0.6675 0.3609 0.3065
0.9456 0.6391 0.3065
```

Top 6 peaks for 10° ≤ 2θ ≤ 80°, by intensity:
two_theta, d/Å, I/Imax
23.51, 3.784, 100
36.88, 2.437, 70
32.69, 2.739, 65
48.02, 1.895, 45
34.87, 2.573, 37
41.24, 2.189, 33

Record 4
This entry pairs a crystal structure of CaTl2Hg2 with its computed powder X-ray diffraction pattern. Radiation: Cu Kα, 1.54184 Å. Structure: a crystal structure in Alexandria, relaxed with PBE.
No peak broadening, texture or thermal motion is included.

Crystal structure
```
CaTl2Hg2
1.0
1.9962 -9.6368 0.0000
1.9962 9.6368 0.0000
0.0000 0.0000 3.7495
Ca Tl Hg
1 2 2
Direct
0.0000 0.0000 0.0000
0.1840 0.8160 0.0000
0.8160 0.1840 0.0000
0.4106 0.5894 0.5000
0.5894 0.4106 0.5000
```

Top 6 peaks for 10° ≤ 2θ ≤ 80°, by intensity:
two_theta, d/Å, I/Imax
32.28, 2.773, 100
33.10, 2.706, 93
36.85, 2.439, 67
25.49, 3.494, 48
35.70, 2.515, 37
63.02, 1.475, 36

Record 5
This entry pairs a crystal structure of CaTlHg6 with its computed powder X-ray diffraction pattern. Radiation: Cu Kα, 1.54184 Å. Structure: a crystal structure in Alexandria, relaxed with PBE.
No peak broadening, texture or thermal motion is included.

Crystal structure
```
CaTlHg6
1.0
5.3223 0.0000 0.0000
0.0000 3.3984 5.8783
0.0000 -3.3984 5.8783
Ca Tl Hg
1 1 6
Direct
0.0000 0.0000 0.0000
0.5000 0.3316 0.3316
0.0000 0.5031 0.5031
0.0000 0.5056 0.9871
0.0000 0.9871 0.5056
0.5000 0.3360 0.8303
0.5000 0.8303 0.3360
0.5000 0.8324 0.8324
```

Top 6 peaks for 10° ≤ 2θ ≤ 80°, by intensity:
two_theta, d/Å, I/Imax
34.85, 2.574, 100
30.39, 2.941, 25
33.68, 2.661, 24
65.17, 1.431, 22
60.99, 1.519, 20
54.00, 1.698, 20

Record 6
This entry pairs a crystal structure of Ca4TlHg2 with its computed powder X-ray diffraction pattern. Radiation: Cu Kα, 1.54184 Å. Structure: a crystal structure in Alexandria, relaxed with PBE.
No peak broadening, texture or thermal motion is included.

Crystal structure
```
Ca4TlHg2
1.0
2.6761 1.5450 8.7975
-2.6761 1.5450 8.7975
0.0000 -3.0901 8.7975
Ca Tl Hg
4 1 2
Direct
0.1231 0.1231 0.1231
0.3740 0.3740 0.3740
0.6260 0.6260 0.6260
0.8769 0.8769 0.8769
0.5000 0.5000 0.5000
0.2506 0.2506 0.2506
0.7494 0.7494 0.7494
```

Top 6 peaks for 10° ≤ 2θ ≤ 80°, by intensity:
two_theta, d/Å, I/Imax
33.34, 2.688, 100
33.49, 2.676, 99
23.46, 3.793, 72
59.80, 1.547, 55
47.97, 1.896, 36
10.05, 8.798, 33

Record 7
This entry pairs a crystal structure of CaTl4Hg with its computed powder X-ray diffraction pattern. Radiation: Cu Kα, 1.54184 Å. Structure: a crystal structure in Alexandria, relaxed with PBE.
No peak broadening, texture or thermal motion is included.

Crystal structure
```
CaTl4Hg
1.0
2.3729 -7.3253 0.0000
2.3729 7.3253 0.0000
0.0000 0.0000 9.9572
Ca Tl Hg
2 8 2
Direct
0.1690 0.8310 0.5000
0.8310 0.1690 0.0000
0.0036 0.9964 0.2524
0.1615 0.8385 0.0041
0.3313 0.6687 0.2527
0.4990 0.5010 0.5024
0.5010 0.4990 0.0024
0.6687 0.3313 0.7527
0.8385 0.1615 0.5041
0.9964 0.0036 0.7524
0.3292 0.6708 0.7573
0.6708 0.3292 0.2573
```

Top 6 peaks for 10° ≤ 2θ ≤ 80°, by intensity:
two_theta, d/Å, I/Imax
31.85, 2.810, 100
36.08, 2.489, 19
36.81, 2.442, 17
37.92, 2.373, 16
62.24, 1.492, 15
63.21, 1.471, 14

Record 8
This entry pairs a crystal structure of Ca5TlHg2 with its computed powder X-ray diffraction pattern. Radiation: Cu Kα, 1.54184 Å. Structure: a crystal structure in Alexandria, relaxed with PBE.
No peak broadening, texture or thermal motion is included.

Crystal structure
```
Ca5TlHg2
1.0
-4.1485 4.1485 7.3706
4.1485 -4.1485 7.3706
4.1485 4.1485 -7.3706
Ca Tl Hg
10 2 4
Direct
0.0000 0.0000 0.0000
0.0189 0.5189 0.8313
0.1876 0.0189 0.5000
0.3124 0.8124 0.8313
0.4811 0.3124 0.5000
0.5000 0.5000 0.0000
0.5189 0.6876 0.5000
0.6876 0.1876 0.1687
0.8124 0.9811 0.5000
0.9811 0.4811 0.1687
0.2500 0.2500 0.0000
0.7500 0.7500 0.0000
0.1328 0.3672 0.5000
0.3672 0.8672 0.2344
0.6328 0.1328 0.7657
0.8672 0.6328 0.5000
```

Top 6 peaks for 10° ≤ 2θ ≤ 80°, by intensity:
two_theta, d/Å, I/Imax
30.18, 2.961, 100
19.34, 4.590, 88
34.17, 2.624, 62
24.74, 3.598, 44
42.28, 2.137, 35
24.15, 3.685, 30

Record 9
This entry pairs a crystal structure of CaTm3Hg2 with its computed powder X-ray diffraction pattern. Radiation: Cu Kα, 1.54184 Å. Structure: a crystal structure in Alexandria, relaxed with PBE.
No peak broadening, texture or thermal motion is included.

Crystal structure
```
CaTm3Hg2
1.0
5.0655 0.0000 0.0000
0.0000 9.1709 0.0000
0.0000 0.0000 7.1048
Ca Tm Hg
2 6 4
Direct
0.0000 0.0577 0.0000
0.0000 0.9423 0.5000
0.0000 0.3253 0.6408
0.0000 0.6747 0.1408
0.5000 0.1777 0.3188
0.5000 0.4422 0.9624
0.5000 0.5578 0.4624
0.5000 0.8223 0.8188
0.0000 0.3555 0.2219
0.0000 0.6445 0.7219
0.5000 0.1511 0.7386
0.5000 0.8489 0.2386
```

Top 6 peaks for 10° ≤ 2θ ≤ 80°, by intensity:
two_theta, d/Å, I/Imax
34.26, 2.617, 100
32.29, 2.772, 90
35.44, 2.533, 64
42.94, 2.106, 48
30.74, 2.908, 35
31.87, 2.808, 33

Record 10
This entry pairs a crystal structure of CaTm3Hg6 with its computed powder X-ray diffraction pattern. Radiation: Cu Kα, 1.54184 Å. Structure: a crystal structure in Alexandria, relaxed with PBE.
No peak broadening, texture or thermal motion is included.

Crystal structure
```
CaTm3Hg6
1.0
9.1129 0.0000 0.0000
0.0000 5.1380 0.0000
-3.0934 0.0000 10.5927
Ca Tm Hg
2 6 12
Direct
0.0583 0.2500 0.3915
0.9417 0.7500 0.6085
0.2327 0.2500 0.0066
0.3548 0.7500 0.8031
0.4749 0.2500 0.6111
0.5251 0.7500 0.3889
0.6452 0.2500 0.1969
0.7673 0.7500 0.9934
0.0645 0.7500 0.9034
0.1417 0.7500 0.2072
0.1719 0.2500 0.6988
0.2592 0.7500 0.5152
0.3553 0.2500 0.2984
0.4584 0.7500 0.0925
0.5416 0.2500 0.9075
0.6447 0.7500 0.7016
0.7408 0.2500 0.4848
0.8281 0.7500 0.3012
0.8583 0.2500 0.7928
0.9355 0.2500 0.0966
```

Top 6 peaks for 10° ≤ 2θ ≤ 80°, by intensity:
two_theta, d/Å, I/Imax
34.30, 2.614, 100
34.66, 2.588, 68
34.93, 2.569, 34
61.91, 1.499, 29
49.77, 1.832, 24
62.46, 1.487, 13

Record 11
This entry pairs a crystal structure of CaTmZnHg with its computed powder X-ray diffraction pattern. Radiation: Cu Kα, 1.54184 Å. Structure: a crystal structure in Alexandria, relaxed with PBE.
No peak broadening, texture or thermal motion is included.

Crystal structure
```
CaTmZnHg
1.0
3.6714 0.0000 0.0000
0.0000 3.6714 0.0000
0.0000 0.0000 7.2949
Ca Tm Zn Hg
1 1 1 1
Direct
0.0000 0.0000 0.0000
0.0000 0.0000 0.4809
0.5000 0.5000 0.2644
0.5000 0.5000 0.7242
```

Top 6 peaks for 10° ≤ 2θ ≤ 80°, by intensity:
two_theta, d/Å, I/Imax
34.67, 2.588, 100
34.55, 2.596, 52
12.13, 7.295, 47
61.98, 1.497, 37
27.19, 3.280, 23
49.66, 1.836, 19

Record 12
This entry pairs a crystal structure of CaY2Hg2 with its computed powder X-ray diffraction pattern. Radiation: Cu Kα, 1.54184 Å. Structure: a crystal structure in Alexandria, relaxed with PBE.
No peak broadening, texture or thermal motion is included.

Crystal structure
```
CaY2Hg2
1.0
8.5729 0.0000 0.0000
0.0000 8.5729 0.0000
0.0000 0.0000 3.8602
Ca Y Hg
2 4 4
Direct
0.0000 0.0000 0.0000
0.5000 0.5000 0.0000
0.1612 0.3388 0.5000
0.3388 0.8388 0.5000
0.6612 0.1612 0.5000
0.8388 0.6612 0.5000
0.1362 0.6362 0.0000
0.3638 0.1362 0.0000
0.6362 0.8638 0.0000
0.8638 0.3638 0.0000
```

Top 6 peaks for 10° ≤ 2θ ≤ 80°, by intensity:
two_theta, d/Å, I/Imax
32.93, 2.720, 100
33.04, 2.711, 33
14.61, 6.062, 28
44.81, 2.023, 22
63.18, 1.472, 21
23.20, 3.834, 15

Record 13
This entry pairs a crystal structure of CaY5Hg6 with its computed powder X-ray diffraction pattern. Radiation: Cu Kα, 1.54184 Å. Structure: a crystal structure in Alexandria, relaxed with PBE.
No peak broadening, texture or thermal motion is included.

Crystal structure
```
CaY5Hg6
1.0
5.2834 0.0000 0.0000
0.0000 7.4486 0.0000
-2.6127 0.0000 7.9383
Ca Y Hg
1 5 6
Direct
0.0000 0.0000 0.0000
0.0000 0.5000 0.0000
0.3340 0.5000 0.6683
0.3353 0.0000 0.6702
0.6647 0.0000 0.3298
0.6660 0.5000 0.3317
0.1687 0.2527 0.3371
0.1687 0.7473 0.3371
0.5000 0.2562 0.0000
0.5000 0.7438 0.0000
0.8313 0.2527 0.6629
0.8313 0.7473 0.6629
```

Top 6 peaks for 10° ≤ 2θ ≤ 80°, by intensity:
two_theta, d/Å, I/Imax
33.92, 2.642, 100
34.01, 2.636, 50
60.79, 1.524, 28
23.80, 3.739, 20
60.65, 1.527, 19
41.90, 2.156, 10